Structure and calculated powder XRD pattern of Pb7O16 (a crystal structure in the Materials Project, relaxed with PBE; copper Kα).
Intensities are scaled so that the largest is 100.

Most intense lines, 10 to 90 degrees two-theta, by angle:
2θ (°), d (Å), I/Imax, index
22.8, 3.897, 25, 2 2 -1
27.9, 3.197, 100, 2 2 0
32.0, 2.795, 17, 0 0 2
34.0, 2.640, 22, 0 4 1
48.1, 1.890, 18, 4 0 0
49.0, 1.861, 14, 2 6 -1
49.5, 1.840, 21, 4 4 -1
54.6, 1.681, 16, 2 2 2
58.5, 1.578, 13, 6 2 -2
59.7, 1.549, 15, 2 6 1

Atomic structure:
```
data_Pb7O16
_chemical_formula_sum 'Pb14 O32'
_cell_length_a 10.264
_cell_length_b 11.980
_cell_length_c 7.584
_cell_angle_alpha 90.00
_cell_angle_beta 132.52
_cell_angle_gamma 90.00
_space_group_name_H-M_alt 'C 1 2 1'
_space_group_IT_number 5
loop_
_space_group_symop_operation_xyz
'x,y,z'
'-x,y,-z'
'x+1/2,y+1/2,z'
'-x+1/2,y+1/2,-z'
loop_
_atom_site_label
_atom_site_type_symbol
_atom_site_fract_x
_atom_site_fract_y
_atom_site_fract_z
Pb1 Pb 0.000 0.000 0.000
Pb2 Pb 0.000 0.079 0.500
Pb3 Pb 0.000 0.575 0.500
Pb4 Pb 0.248 0.752 0.001
Pb5 Pb 0.249 0.329 0.478
O1 O 0.025 0.450 0.316
O2 O 0.029 0.217 0.323
O3 O 0.033 0.709 0.325
O4 O 0.048 0.964 0.326
O5 O 0.204 0.862 0.186
O6 O 0.220 0.116 0.177
O7 O 0.222 0.372 0.179
O8 O 0.224 0.612 0.179
```